Starting from a GGA+U-relaxed structure, the powder diffractogram of Mg2MnNb2O8 was calculated for copper Kα.
Peak positions follow from Bragg's law for the DFT cell and can differ from measured ones.

Main lines, in order of rising 2θ (2θ from 15° to 90°):
2θ (°)	d_spacing	I_rel	hkl
20.03	4.433	30	3 1 0
22.93	3.878	37	1 1 -1
26.37	3.379	87	3 1 1
27.19	3.280	35	5 1 0
32.23	2.778	100	5 1 -1
34.20	2.622	42	0 2 1
34.34	2.612	28	0 0 2
38.98	2.310	23	4 2 -1
51.18	1.785	66	8 0 -2
61.41	1.510	23	0 2 3

Crystal structure
a = 19.4972 Å, b = 6.0629 Å, c = 5.2230 Å
α = 90.00°, β = 90.19°, γ = 90.00°
Space group C2/c (No. 15)
Unique sites:
Mg (0.2294, 0.1406, 0.2531) (multiplicity 8)
Mn (0.0000, 0.1638, 0.2500) (multiplicity 4)
Nb (0.1181, 0.3301, 0.7590) (multiplicity 8)
O (0.0606, 0.1253, 0.9075) (multiplicity 8)
O (0.0734, 0.3933, 0.4261) (multiplicity 8)
O (0.1888, 0.3938, 0.0429) (multiplicity 8)
O (0.1919, 0.1451, 0.6153) (multiplicity 8)